No. 1
Structure and computed powder diffraction line list of PuH4Os (a GGA-PBE-relaxed structure; CuKα).
Intensities are scaled so that the largest is 1000.

Top 10 peaks for 2θ from 10° to 90°, by angle:
2θ = 23.02°, d 3.864, I = 572; 2θ = 26.00°, d 3.428, I = 777; 2θ = 33.47°, d 2.677, I = 1000; 2θ = 34.96°, d 2.566, I = 880; 2θ = 39.13°, d 2.302, I = 323; 2θ = 42.96°, d 2.105, I = 423; 2θ = 43.41°, d 2.085, I = 203; 2θ = 53.47°, d 1.714, I = 484; 2θ = 67.25°, d 1.392, I = 352; 2θ = 74.42°, d 1.275, I = 221

a = 7.428 Å, b = 4.232 Å, c = 4.232 Å
α = 114.08°, β = 90.00°, γ = 90.00°
Fractional positions:
1 Pu 0.000 0.000 0.000
2 Pu 0.500 0.000 0.000
3 H 0.116 0.886 0.454
4 H 0.250 0.313 0.274
5 H 0.250 0.664 0.924
6 H 0.384 0.886 0.454
7 H 0.616 0.454 0.886
8 H 0.750 0.274 0.313
9 H 0.750 0.924 0.664
10 H 0.884 0.454 0.886
11 Os 0.250 0.237 0.653
12 Os 0.750 0.653 0.237

No. 2
Structure and computed powder diffraction line list of Rb2H5Os (a GGA-PBE-relaxed structure; CuKα).
Intensities are scaled so that the largest is 1000.

Top 10 peaks for 2θ from 10° to 90°, by angle:
2θ = 18.20°, d 4.875, I = 952; 2θ = 29.13°, d 3.065, I = 546; 2θ = 30.32°, d 2.948, I = 1000; 2θ = 34.56°, d 2.595, I = 376; 2θ = 36.59°, d 2.456, I = 164; 2θ = 41.67°, d 2.168, I = 216; 2θ = 47.44°, d 1.917, I = 155; 2θ = 52.39°, d 1.746, I = 427; 2θ = 54.60°, d 1.681, I = 187; 2θ = 63.08°, d 1.474, I = 125

a = 6.131 Å, b = 6.131 Å, c = 8.040 Å
α = 90.00°, β = 90.00°, γ = 90.00°
Fractional positions:
1 Rb 0.000 0.500 0.000
2 Rb 0.000 0.500 0.500
3 Rb 0.500 0.000 0.000
4 Rb 0.500 0.000 0.500
5 H 0.000 0.000 0.050
6 H 0.201 0.201 0.250
7 H 0.201 0.799 0.250
8 H 0.299 0.299 0.750
9 H 0.299 0.701 0.750
10 H 0.500 0.500 0.550
11 H 0.701 0.299 0.750
12 H 0.701 0.701 0.750
13 H 0.799 0.201 0.250
14 H 0.799 0.799 0.250
15 Os 0.000 0.000 0.247
16 Os 0.500 0.500 0.747

No. 3
Structure and computed powder diffraction line list of RbH8Os2 (a GGA-PBE-relaxed structure; CuKα).
Intensities are scaled so that the largest is 1000.

Top 10 peaks for 2θ from 10° to 90°, by angle:
2θ = 15.13°, d 5.854, I = 691; 2θ = 26.30°, d 3.388, I = 1000; 2θ = 30.54°, d 2.927, I = 317; 2θ = 37.46°, d 2.401, I = 373; 2θ = 37.57°, d 2.394, I = 238; 2θ = 40.63°, d 2.221, I = 290; 2θ = 46.35°, d 1.959, I = 144; 2θ = 49.08°, d 1.856, I = 433; 2θ = 51.75°, d 1.766, I = 156; 2θ = 61.20°, d 1.514, I = 156

a = 4.802 Å, b = 4.802 Å, c = 5.854 Å
α = 90.04°, β = 90.04°, γ = 120.17°
Fractional positions:
1 Rb 0.000 0.000 0.000
2 H 0.299 0.999 0.611
3 H 0.338 0.667 0.788
4 H 0.373 0.373 0.345
5 H 0.625 0.999 0.343
6 H 0.667 0.338 0.788
7 H 0.702 0.702 0.607
8 H 0.999 0.299 0.611
9 H 0.999 0.625 0.343
10 Os 0.333 0.667 0.511
11 Os 0.667 0.333 0.511

No. 4
Structure and computed powder diffraction line list of Rb3H7Os (a GGA-PBE-relaxed structure; CuKα).
Intensities are scaled so that the largest is 1000.

Top 10 peaks for 2θ from 10° to 90°, by angle:
2θ = 17.53°, d 5.058, I = 342; 2θ = 28.30°, d 3.153, I = 1000; 2θ = 28.59°, d 3.122, I = 968; 2θ = 29.56°, d 3.022, I = 898; 2θ = 38.99°, d 2.310, I = 220; 2θ = 41.88°, d 2.157, I = 175; 2θ = 42.71°, d 2.117, I = 162; 2θ = 49.67°, d 1.835, I = 416; 2θ = 51.50°, d 1.775, I = 375; 2θ = 52.03°, d 1.758, I = 357

a = 6.267 Å, b = 6.045 Å, c = 6.321 Å
α = 60.85°, β = 57.39°, γ = 61.75°
Fractional positions:
1 Rb 0.000 0.000 0.000
2 Rb 0.238 0.238 0.262
3 Rb 0.738 0.738 0.762
4 H 0.211 0.433 0.789
5 H 0.296 0.673 0.327
6 H 0.353 0.728 0.647
7 H 0.433 0.211 0.567
8 H 0.673 0.296 0.704
9 H 0.684 0.684 0.316
10 H 0.728 0.353 0.272
11 Os 0.484 0.484 0.516

No. 5
Structure and computed powder diffraction line list of Re2HOsW (a GGA-PBE-relaxed structure; CuKα).
Intensities are scaled so that the largest is 1000.

Top 8 peaks for 2θ from 10° to 90°, by angle:
2θ = 39.34°, d 2.290, I = 1000; 2θ = 45.40°, d 1.998, I = 169; 2θ = 45.91°, d 1.976, I = 326; 2θ = 66.55°, d 1.405, I = 218; 2θ = 66.96°, d 1.398, I = 107; 2θ = 79.76°, d 1.202, I = 132; 2θ = 80.51°, d 1.193, I = 258; 2θ = 84.63°, d 1.145, I = 116

a = 3.953 Å, b = 3.953 Å, c = 3.995 Å
α = 90.00°, β = 90.00°, γ = 90.00°
Fractional positions:
1 Re 0.000 0.500 0.000
2 Re 0.500 0.000 0.000
3 H 0.000 0.000 0.000
4 Os 0.500 0.500 0.500
5 W 0.000 0.000 0.500

No. 6
Structure and computed powder diffraction line list of SbH2Os (a GGA-PBE-relaxed structure; CuKα).
Intensities are scaled so that the largest is 1000.

Top 10 peaks for 2θ from 10° to 90°, by angle:
2θ = 20.88°, d 4.254, I = 328; 2θ = 28.62°, d 3.119, I = 885; 2θ = 37.95°, d 2.371, I = 648; 2θ = 41.72°, d 2.165, I = 1000; 2θ = 43.71°, d 2.071, I = 197; 2θ = 54.76°, d 1.676, I = 231; 2θ = 58.28°, d 1.583, I = 163; 2θ = 62.95°, d 1.477, I = 194; 2θ = 71.13°, d 1.326, I = 413; 2θ = 78.62°, d 1.217, I = 152

a = 3.353 Å, b = 3.353 Å, c = 8.508 Å
α = 90.00°, β = 90.00°, γ = 90.00°
Fractional positions:
1 Sb 0.000 0.000 0.000
2 Sb 0.500 0.500 0.500
3 H 0.000 0.500 0.244
4 H 0.000 0.500 0.744
5 H 0.500 0.000 0.244
6 H 0.500 0.000 0.744
7 Os 0.000 0.000 0.320
8 Os 0.500 0.500 0.820

No. 7
Structure and computed powder diffraction line list of SmH8Os2 (a GGA-PBE-relaxed structure; CuKα).
Intensities are scaled so that the largest is 1000.

Top 10 peaks for 2θ from 10° to 90°, by angle:
2θ = 19.06°, d 4.657, I = 504; 2θ = 19.70°, d 4.506, I = 624; 2θ = 27.54°, d 3.238, I = 902; 2θ = 31.38°, d 2.850, I = 937; 2θ = 36.63°, d 2.453, I = 1000; 2θ = 38.67°, d 2.329, I = 448; 2θ = 40.02°, d 2.253, I = 461; 2θ = 40.67°, d 2.218, I = 488; 2θ = 45.28°, d 2.003, I = 529; 2θ = 57.37°, d 1.606, I = 378

a = 4.657 Å, b = 4.617 Å, c = 4.617 Å
α = 102.62°, β = 90.00°, γ = 90.00°
Fractional positions:
1 Sm 0.000 0.000 0.000
2 H 0.240 0.372 0.372
3 H 0.258 0.542 0.865
4 H 0.258 0.865 0.542
5 H 0.500 0.123 0.861
6 H 0.500 0.861 0.123
7 H 0.742 0.542 0.865
8 H 0.742 0.865 0.542
9 H 0.760 0.372 0.372
10 Os 0.500 0.105 0.472
11 Os 0.500 0.472 0.105

No. 8
Structure and computed powder diffraction line list of Sn2H5Os (a GGA-PBE-relaxed structure; CuKα).
Intensities are scaled so that the largest is 1000.

Top 10 peaks for 2θ from 10° to 90°, by angle:
2θ = 18.94°, d 4.686, I = 1000; 2θ = 21.86°, d 4.066, I = 697; 2θ = 25.75°, d 3.460, I = 842; 2θ = 31.69°, d 2.823, I = 242; 2θ = 34.50°, d 2.600, I = 374; 2θ = 36.22°, d 2.480, I = 931; 2θ = 37.66°, d 2.388, I = 490; 2θ = 40.25°, d 2.240, I = 724; 2θ = 42.48°, d 2.128, I = 261; 2θ = 44.02°, d 2.057, I = 422

a = 4.777 Å, b = 5.033 Å, c = 5.111 Å
α = 69.38°, β = 89.96°, γ = 61.78°
Fractional positions:
1 Sn 0.000 0.000 0.000
2 Sn 0.190 0.622 0.613
3 H 0.203 0.173 0.467
4 H 0.577 0.845 0.079
5 H 0.607 0.789 0.476
6 H 0.626 0.174 0.469
7 H 0.738 0.524 0.915
8 Os 0.530 0.941 0.724